Structure and calculated PXRD pattern of Mg2Zn15Ni2 (a PBE-relaxed structure; λ = 1.5418 Å (Cu Kα)).
Neutral-atom scattering factors, no anomalous dispersion.

```
data_Mg2Zn15Ni2
_chemical_formula_sum 'Mg2 Zn15 Ni2'
_space_group_name_H-M_alt 'P 1'
_space_group_IT_number 1
_cell_length_a 6.700
_cell_length_b 6.700
_cell_length_c 6.700
_cell_angle_alpha 81.66
_cell_angle_beta 81.66
_cell_angle_gamma 81.66
loop_
_space_group_symop_operation_xyz
'x,y,z'
loop_
_atom_site_label
_atom_site_fract_x
_atom_site_fract_y
_atom_site_fract_z
Mg1 0.185 0.185 0.185
Mg2 0.815 0.815 0.815
Zn1 0.000 0.500 0.500
Zn2 0.148 0.148 0.649
Zn3 0.148 0.649 0.148
Zn4 0.210 0.500 0.790
Zn5 0.210 0.790 0.500
Zn6 0.351 0.852 0.852
Zn7 0.500 0.000 0.500
Zn8 0.500 0.210 0.790
Zn9 0.500 0.500 0.000
Zn10 0.500 0.790 0.210
Zn11 0.649 0.148 0.148
Zn12 0.790 0.210 0.500
Zn13 0.790 0.500 0.210
Zn14 0.852 0.351 0.852
Zn15 0.852 0.852 0.351
Ni1 0.402 0.402 0.402
Ni2 0.598 0.598 0.598
```

Top 6 peaks for 10° ≤ 2θ ≤ 90°, low angle first:
2θ/deg	d [Å]	Rel. int.
13.5	6.576	28.6
20.3	4.383	34.2
41.2	2.193	78.7
41.2	2.190	37.1
41.7	2.165	25.7
46.3	1.961	100.0